No. 1
Calculated X-ray powder pattern
Compound: BaVPO6
Radiation: copper Kα
Structure: a cell relaxed with PBE+U
Peak positions follow from Bragg's law for the DFT cell and can differ from measured ones.

Crystal structure
```
data_BaVPO6
_chemical_formula_sum 'Ba4 V4 P4 O24'
_space_group_name_H-M_alt 'P 1'
_space_group_IT_number 1
_cell_length_a 5.8331
_cell_length_b 10.1427
_cell_length_c 8.7902
_cell_angle_alpha 90.00
_cell_angle_beta 90.91
_cell_angle_gamma 90.00
loop_
_space_group_symop_operation_xyz
'x,y,z'
loop_
_atom_site_label
_atom_site_fract_x
_atom_site_fract_y
_atom_site_fract_z
Ba1 0.1432 0.1903 0.0859
Ba2 0.1432 0.3097 0.5859
Ba3 0.8568 0.6903 0.4141
Ba4 0.8568 0.8097 0.9141
V1 0.3504 0.5882 0.0843
V2 0.3504 0.9118 0.5843
V3 0.6496 0.0882 0.4157
V4 0.6496 0.4118 0.9157
P1 0.3473 0.6152 0.7188
P2 0.3473 0.8848 0.2188
P3 0.6527 0.1152 0.7812
P4 0.6527 0.3848 0.2812
O1 0.1020 0.6301 0.1609
O2 0.1020 0.8699 0.6609
O3 0.1346 0.5846 0.6222
O4 0.1346 0.9154 0.1222
O5 0.2793 0.6662 0.8818
O6 0.2793 0.8338 0.3818
O7 0.3181 0.0708 0.5166
O8 0.3181 0.4292 0.0166
O9 0.4849 0.0185 0.2328
O10 0.4849 0.4815 0.7328
O11 0.4946 0.2230 0.8516
O12 0.4946 0.2770 0.3516
O13 0.5054 0.7230 0.6484
O14 0.5054 0.7770 0.1484
O15 0.5151 0.5185 0.2672
O16 0.5151 0.9815 0.7672
O17 0.6819 0.5708 0.9834
O18 0.6819 0.9292 0.4834
O19 0.7207 0.1662 0.6182
O20 0.7207 0.3338 0.1182
O21 0.8654 0.0846 0.8778
O22 0.8654 0.4154 0.3778
O23 0.8980 0.1301 0.3391
O24 0.8980 0.3699 0.8391
```

Principal peaks in the range 10° ≤ 2θ ≤ 80°, by intensity:
2θ 25.5, I 100; 2θ 25.2, I 99; 2θ 27.1, I 86; 2θ 20.2, I 75; 2θ 31.9, I 56; 2θ 30.6, I 42

No. 2
Calculated X-ray powder pattern
Compound: Mn6O5F7
Radiation: copper Kα
Structure: a cell relaxed with PBE+U
Peak positions follow from Bragg's law for the DFT cell and can differ from measured ones.

Crystal structure
```
data_Mn6O5F7
_chemical_formula_sum 'Mn12 O10 F14'
_space_group_name_H-M_alt 'P 1'
_space_group_IT_number 1
_cell_length_a 4.7306
_cell_length_b 5.7621
_cell_length_c 15.5736
_cell_angle_alpha 89.98
_cell_angle_beta 89.88
_cell_angle_gamma 88.40
loop_
_space_group_symop_operation_xyz
'x,y,z'
loop_
_atom_site_label
_atom_site_fract_x
_atom_site_fract_y
_atom_site_fract_z
Mn1 0.0000 0.0000 0.0000
Mn2 0.0002 0.0098 0.6658
Mn3 0.9999 0.3220 0.1687
Mn4 0.0091 0.3347 0.5053
Mn5 0.0197 0.3205 0.8369
Mn6 0.0339 0.0464 0.3396
Mn7 0.5123 0.8225 0.8444
Mn8 0.5310 0.4828 0.3425
Mn9 0.5333 0.5317 0.0102
Mn10 0.5415 0.8024 0.5075
Mn11 0.5716 0.5177 0.6755
Mn12 0.5729 0.8321 0.1692
O1 0.2228 0.0405 0.8951
O2 0.2245 0.2884 0.3985
O3 0.7249 0.7723 0.9508
O4 0.7376 0.5491 0.4524
O5 0.7424 0.7745 0.6164
O6 0.7456 0.5611 0.7848
O7 0.7493 0.5692 0.1145
O8 0.8076 0.0552 0.1097
O9 0.8110 0.2894 0.6144
O10 0.8139 0.2808 0.2765
F1 0.2539 0.3078 0.0620
F2 0.2605 0.0447 0.5546
F3 0.2750 0.8010 0.0652
F4 0.2774 0.5370 0.9059
F5 0.2779 0.2854 0.7253
F6 0.2843 0.7882 0.7316
F7 0.2920 0.7988 0.3964
F8 0.2980 0.0610 0.2232
F9 0.2976 0.5409 0.5736
F10 0.3099 0.5669 0.2278
F11 0.7724 0.2733 0.9486
F12 0.7743 0.0656 0.7804
F13 0.7755 0.0544 0.4495
F14 0.7877 0.7970 0.2889
```

Principal peaks in the range 10° ≤ 2θ ≤ 80°, by intensity:
2θ 29.6, I 100; 2θ 30.2, I 96; 2θ 52.4, I 61; 2θ 24.0, I 54; 2θ 24.7, I 51; 2θ 35.7, I 36